Simulated XRD peak list of V2CoH8O10 for Cu Kα X-rays, from a crystal structure in the Materials Project, relaxed with PBE+U.
Neutral-atom scattering factors, no anomalous dispersion.

Cell and atoms:
Unit cell a=13.7027 b=9.7499 c=7.0693 alpha=90.00 beta=111.74 gamma=90.00
Space group C2/c (No. 15)
Inequivalent atoms, fractional coordinates:
V: 0.1030 0.0283 0.1927 x8
Co: 0.2500 0.2500 0.0000 x4
H: 0.0966 0.3371 0.6637 x8
H: 0.1124 0.4497 0.8361 x8
H: 0.1379 0.3161 0.3461 x8
H: 0.1927 0.4086 0.5383 x8
O: 0.0577 0.0402 0.4212 x8
O: 0.1178 0.3496 0.8122 x8
O: 0.1243 0.3883 0.4323 x8
O: 0.1591 0.1811 0.1842 x8
O: 0.2018 0.0829 0.8096 x8

The 10 most intense peaks (10° ≤ 2θ ≤ 90°), in order of falling intensity:
- 2θ = 11.43°, intensity 100, hkl 1 1 0
- 2θ = 29.03°, intensity 29, hkl 3 1 -2
- 2θ = 22.98°, intensity 27, hkl 2 2 0
- 2θ = 19.60°, intensity 25, hkl 1 1 1
- 2θ = 30.37°, intensity 21, hkl 1 3 -1
- 2θ = 28.34°, intensity 19, hkl 1 3 0
- 2θ = 15.61°, intensity 19, hkl 1 1 -1
- 2θ = 31.06°, intensity 12, hkl 4 0 -2
- 2θ = 33.63°, intensity 12, hkl 4 2 0
- 2θ = 31.92°, intensity 10, hkl 1 1 2


Simulated XRD peak list of HfMg6CoO8 for Cu Kα X-rays, from a crystal structure in the Materials Project, relaxed with PBE+U.
Neutral-atom scattering factors, no anomalous dispersion.

Cell and atoms:
Unit cell a=4.2942 b=4.2942 c=8.8384 alpha=90.00 beta=90.00 gamma=90.00
Space group P4/mmm (No. 123)
Inequivalent atoms, fractional coordinates:
Hf: 0.0000 0.0000 0.0000 x1
Mg: 0.0000 0.0000 0.5000 x1
Mg: 0.0000 0.5000 0.2574 x4
Mg: 0.5000 0.5000 0.5000 x1
Co: 0.5000 0.5000 0.0000 x1
O: 0.0000 0.0000 0.2529 x2
O: 0.0000 0.5000 0.0000 x2
O: 0.0000 0.5000 0.5000 x2
O: 0.5000 0.5000 0.2641 x2

The 10 most intense peaks (10° ≤ 2θ ≤ 90°), in order of falling intensity:
- 2θ = 10.01°, intensity 100, hkl 0 0 1
- 2θ = 42.08°, intensity 57, hkl 2 0 0
- 2θ = 35.88°, intensity 45, hkl 1 1 2
- 2θ = 60.09°, intensity 35, hkl 2 0 4
- 2θ = 31.14°, intensity 34, hkl 1 1 1
- 2θ = 40.84°, intensity 31, hkl 0 0 4
- 2θ = 23.03°, intensity 27, hkl 1 0 1
- 2θ = 20.09°, intensity 25, hkl 0 0 2
- 2θ = 29.42°, intensity 19, hkl 1 1 0
- 2θ = 61.03°, intensity 17, hkl 2 2 0


Simulated XRD peak list of HfMg6CoO8 for Cu Kα X-rays, from a crystal structure in the Materials Project, relaxed with PBE+U.
Neutral-atom scattering factors, no anomalous dispersion.

Cell and atoms:
Unit cell a=4.3380 b=4.3380 c=8.8509 alpha=90.00 beta=90.00 gamma=90.00
Space group P4/mmm (No. 123)
Inequivalent atoms, fractional coordinates:
Hf: 0.0000 0.0000 0.0000 x1
Mg: 0.0000 0.5000 0.2710 x4
Mg: 0.5000 0.5000 0.0000 x1
Mg: 0.5000 0.5000 0.5000 x1
Co: 0.0000 0.0000 0.5000 x1
O: 0.0000 0.0000 0.2338 x2
O: 0.0000 0.5000 0.0000 x2
O: 0.0000 0.5000 0.5000 x2
O: 0.5000 0.5000 0.2496 x2

The 10 most intense peaks (10° ≤ 2θ ≤ 90°), in order of falling intensity:
- 2θ = 41.64°, intensity 100, hkl 2 0 0
- 2θ = 20.47°, intensity 80, hkl 1 0 0
- 2θ = 35.61°, intensity 76, hkl 1 1 2
- 2θ = 28.82°, intensity 70, hkl 1 0 2
- 2θ = 59.70°, intensity 59, hkl 2 0 4
- 2θ = 40.78°, intensity 50, hkl 0 0 4
- 2θ = 22.83°, intensity 48, hkl 1 0 1
- 2θ = 20.06°, intensity 44, hkl 0 0 2
- 2θ = 60.36°, intensity 39, hkl 2 2 0
- 2θ = 29.11°, intensity 34, hkl 1 1 0